# Y2Nb4Sb3N3
Computed X-ray diffraction stick pattern, Cu Ka. Input: a GGA-PBE-relaxed structure.

Main lines, most intense first (2θ = 10–90°):
36.2 deg, rel. 100; 36.0 deg, rel. 53; 30.0 deg, rel. 25; 52.8 deg, rel. 22; 40.4 deg, rel. 22; 29.7 deg, rel. 12

Atomic structure:
Cell lengths 5.9648, 5.9648, 13.8400 Å; angles 102.50, 102.50, 60.65 degrees
Atoms (fractional coordinates):
Y1 0.0324 0.8676 0.5996
Y2 0.1324 0.9676 0.9004
Y3 0.8676 0.0324 0.0996
Y4 0.9676 0.1324 0.4004
Nb1 0.1929 0.3654 0.0743
Nb2 0.3138 0.4660 0.4257
Nb3 0.3654 0.1929 0.5743
Nb4 0.4660 0.3138 0.9257
Nb5 0.5340 0.6862 0.0743
Nb6 0.6346 0.8071 0.4257
Nb7 0.6862 0.5340 0.5743
Nb8 0.8071 0.6346 0.9257
Sb1 0.0800 0.3000 0.7503
Sb2 0.3000 0.0800 0.2503
Sb3 0.4580 0.5420 0.7500
Sb4 0.5420 0.4580 0.2500
Sb5 0.7000 0.9200 0.7497
Sb6 0.9200 0.7000 0.2497
N1 0.0000 0.5000 0.5000
N2 0.1641 0.6739 0.0001
N3 0.3261 0.8359 0.4999
N4 0.5000 0.0000 0.0000
N5 0.6739 0.1641 0.5001
N6 0.8359 0.3261 0.9999